(1)
Diffraction record for Pu2HgAs. The PXRD pattern is theoretical, not measured: it uses DFT lattice parameters and positions (PBE) and a wavelength of 1.5418 Å.

The 10 most intense peaks (15° ≤ 2θ ≤ 90°), sorted by position:
2θ/deg, I_rel
34.1, 100
36.7, 41
44.9, 12
52.9, 15
59.3, 21
64.5, 33
71.8, 12
75.8, 10
88.0, 7
89.6, 7

Crystal structure
```
Pu2HgAs
1.0
4.8945 0.0000 0.0000
0.0000 4.8945 0.0000
0.0000 0.0000 4.0395
Pu Hg As
2 1 1
Cartesian
0.0000 2.4473 0.0000
2.4473 0.0000 0.0000
0.0000 0.0000 2.0197
2.4473 2.4473 2.0197
```

(2)
Diffraction record for Rb3Hg5As2. The PXRD pattern is theoretical, not measured: it uses DFT lattice parameters and positions (PBE) and a wavelength of 1.5418 Å.

The 10 most intense peaks (15° ≤ 2θ ≤ 90°), sorted by position:
2θ/deg, I_rel
15.5, 59
26.9, 53
28.6, 62
28.7, 74
30.2, 42
32.7, 100
36.4, 24
38.6, 36
39.9, 44
49.1, 23

Crystal structure
```
Rb3Hg5As2
1.0
-5.6989 8.1330 3.7119
5.6989 -8.1330 3.7119
5.6989 8.1330 -3.7119
Rb Hg As
6 10 4
Cartesian
8.2058 2.2791 0.0000
0.0000 0.0000 1.8560
2.5070 5.8539 0.0000
3.1919 2.2791 3.7119
0.0000 0.0000 5.5679
-2.5070 5.8539 3.7119
5.6989 4.4979 -1.8560
4.4469 2.3057 0.0000
5.6989 0.0000 1.8560
4.4469 -2.3057 3.7119
0.0000 3.6352 1.8560
5.6989 4.4979 1.8560
1.2519 10.4387 0.0000
0.0000 8.1330 1.8560
1.2519 5.8273 3.7119
0.0000 3.6352 5.5679
1.6256 2.4739 0.0000
7.3244 5.6592 0.0000
-1.6256 2.4739 3.7119
4.0733 5.6592 3.7119
```

(3)
Diffraction record for Rb2Hg4As. The PXRD pattern is theoretical, not measured: it uses DFT lattice parameters and positions (PBE) and a wavelength of 1.5418 Å.

The 10 most intense peaks (15° ≤ 2θ ≤ 90°), sorted by position:
2θ/deg, I_rel
16.7, 23
24.7, 97
28.6, 53
29.7, 100
32.4, 91
43.7, 68
46.4, 34
53.3, 25
55.4, 34
56.1, 34

Crystal structure
```
Rb2Hg4As
1.0
5.5319 0.0000 0.0000
0.0000 5.5319 0.0000
0.0000 0.0000 18.7514
Rb Hg As
4 8 2
Cartesian
0.0000 0.0000 2.6154
0.0000 0.0000 16.1360
2.7659 2.7659 6.7603
2.7659 2.7659 11.9911
0.0000 0.0000 6.2799
0.0000 0.0000 12.4716
0.0000 2.7659 0.0000
0.0000 2.7659 9.3757
2.7659 0.0000 0.0000
2.7659 0.0000 9.3757
2.7659 2.7659 3.0958
2.7659 2.7659 15.6556
0.0000 0.0000 9.3757
2.7659 2.7659 0.0000
```

(4)
Diffraction record for RbHgAsS4. The PXRD pattern is theoretical, not measured: it uses DFT lattice parameters and positions (PBE) and a wavelength of 1.5418 Å.

The 10 most intense peaks (15° ≤ 2θ ≤ 90°), sorted by position:
2θ/deg, I_rel
15.5, 100
18.4, 51
23.2, 75
23.8, 64
27.4, 43
28.3, 22
29.9, 34
32.0, 31
32.3, 54
37.3, 48

Crystal structure
```
RbHgAsS4
1.0
6.5497 0.0000 0.0000
0.0000 7.4681 0.0000
-2.5207 0.0000 8.9403
Rb Hg As S
2 2 2 8
Cartesian
1.3776 1.8670 0.6125
2.6514 5.6011 8.3279
0.0157 1.8670 5.4618
4.0133 5.6011 3.4785
0.6480 5.6011 2.6369
3.3810 1.8670 6.3034
-1.7650 0.1585 6.3446
-1.7650 3.5755 6.3446
1.9531 5.6011 0.9320
1.8164 5.6011 4.5266
2.2125 1.8670 4.4137
2.0758 1.8670 8.0083
5.7940 3.8926 2.5958
5.7940 7.3096 2.5958
```

(5)
Diffraction record for RbHgTe4As2. The PXRD pattern is theoretical, not measured: it uses DFT lattice parameters and positions (PBE) and a wavelength of 1.5418 Å.

The 10 most intense peaks (15° ≤ 2θ ≤ 90°), sorted by position:
2θ/deg, I_rel
25.0, 48
27.3, 100
32.0, 57
34.0, 25
35.7, 41
36.9, 24
39.0, 21
40.0, 40
42.0, 25
44.0, 24

Crystal structure
```
RbHgTe4As2
1.0
6.1909 0.0000 0.0000
0.0000 8.5984 0.0000
0.0000 0.0000 10.0834
Rb Hg Te As
2 2 8 4
Cartesian
0.0000 0.0000 0.0000
3.0955 4.2992 5.0417
0.0000 0.0000 5.0417
3.0955 4.2992 0.0000
1.0097 2.0604 2.8301
1.0097 6.5380 7.2534
2.0857 2.2388 7.8718
2.0857 6.3596 2.2117
4.1052 2.2388 2.2117
4.1052 6.3596 7.8718
5.1812 2.0604 7.2534
5.1812 6.5380 2.8301
0.0000 4.2992 1.3140
0.0000 4.2992 8.7695
3.0955 0.0000 3.7277
3.0955 0.0000 6.3557
```

(6)
Diffraction record for Hg3AsS2. The PXRD pattern is theoretical, not measured: it uses DFT lattice parameters and positions (PBE) and a wavelength of 1.5418 Å.

The 10 most intense peaks (15° ≤ 2θ ≤ 90°), sorted by position:
2θ/deg, I_rel
19.0, 19
24.8, 66
28.0, 100
29.0, 28
37.7, 29
38.0, 21
43.6, 22
44.2, 15
48.2, 24
51.3, 23

Crystal structure
```
Hg3AsS2
1.0
6.1498 -4.4081 0.0000
6.1498 4.4081 0.0000
0.0000 0.0000 6.1560
Hg As S
6 2 4
Cartesian
3.8990 1.2462 5.5910
6.1498 2.5703 3.0780
3.8990 -1.2462 2.5129
8.4007 1.2462 5.5910
6.1498 -2.5703 0.0000
8.4007 -1.2462 2.5129
6.1498 0.1074 2.1157
6.1498 -0.1074 5.1937
2.1140 0.9588 1.1526
2.1140 -0.9588 4.2307
10.1856 0.9588 1.1526
10.1856 -0.9588 4.2307
```

(7)
Diffraction record for HgAs2S4. The PXRD pattern is theoretical, not measured: it uses DFT lattice parameters and positions (PBE) and a wavelength of 1.5418 Å.

The 10 most intense peaks (15° ≤ 2θ ≤ 90°), sorted by position:
2θ/deg, I_rel
17.9, 100
24.1, 44
30.2, 64
31.7, 66
34.3, 40
46.3, 19
47.5, 66
49.3, 26
55.6, 22
81.2, 17

Crystal structure
```
HgAs2S4
1.0
7.3864 0.0000 0.0000
0.0000 7.3864 0.0000
0.0000 0.0000 6.6960
Hg As S
2 4 8
Cartesian
0.0000 0.0000 0.0000
3.6932 3.6932 3.3480
0.0000 3.6932 1.6740
0.0000 3.6932 5.0220
3.6932 0.0000 1.6740
3.6932 0.0000 5.0220
1.2680 2.3356 0.0000
1.3576 4.9612 3.3480
2.3356 6.1184 0.0000
2.4252 1.3576 3.3480
4.9612 6.0288 3.3480
5.0508 1.2680 0.0000
6.0288 2.4252 3.3480
6.1184 5.0508 0.0000
```

(8)
Diffraction record for Hg2AsSe2S. The PXRD pattern is theoretical, not measured: it uses DFT lattice parameters and positions (PBE) and a wavelength of 1.5418 Å.

The 10 most intense peaks (15° ≤ 2θ ≤ 90°), sorted by position:
2θ/deg, I_rel
18.1, 23
22.1, 45
25.0, 35
27.5, 100
33.6, 37
42.2, 64
44.4, 16
45.6, 41
56.4, 19
56.8, 16

Crystal structure
```
Hg2AsSe2S
1.0
6.1159 -3.5656 0.0000
6.1159 3.5656 0.0000
0.0000 0.0000 8.0586
Hg As Se S
4 2 4 2
Cartesian
4.1687 1.9090 4.0293
8.0630 1.9090 4.0293
4.1687 -1.9090 0.0000
8.0630 -1.9090 0.0000
6.1159 1.6062 7.9442
6.1159 -1.6062 3.9149
1.8820 0.9098 2.6822
1.8820 -0.9098 6.7115
10.3498 0.9098 2.6822
10.3498 -0.9098 6.7115
6.1159 0.4024 2.8927
6.1159 -0.4024 6.9220
```